(1)
For LaPa2PN5, a crystal structure in Alexandria, relaxed with GGA-PBE gives the simulated PXRD pattern in this record (Cu Ka).

Crystal structure
a = 6.6347 Å, b = 6.6347 Å, c = 5.4582 Å
α = 90.00°, β = 90.00°, γ = 90.00°
Sites, in units of the cell vectors:
La: 0.0000 0.0000 0.0000
La: 0.5000 0.5000 0.0000
Pa: 0.1766 0.3234 0.5000
Pa: 0.3234 0.8234 0.5000
Pa: 0.6766 0.1766 0.5000
Pa: 0.8234 0.6766 0.5000
P: 0.0000 0.5000 0.0000
P: 0.5000 0.0000 0.0000
N: 0.0000 0.0000 0.5000
N: 0.1375 0.6375 0.2380
N: 0.1375 0.6375 0.7620
N: 0.3625 0.1375 0.2380
N: 0.3625 0.1375 0.7620
N: 0.5000 0.5000 0.5000
N: 0.6375 0.8625 0.2380
N: 0.6375 0.8625 0.7620
N: 0.8625 0.3625 0.2380
N: 0.8625 0.3625 0.7620

Most intense lines, 10° ≤ 2θ ≤ 90°, by angle:
16.2°, 5.458 Å, I 55
25.0°, 3.558 Å, I 31
30.1°, 2.967 Å, I 48
31.6°, 2.835 Å, I 100
32.8°, 2.729 Å, I 42
34.4°, 2.607 Å, I 93
43.1°, 2.098 Å, I 28
45.1°, 2.009 Å, I 54
59.9°, 1.543 Å, I 28
61.7°, 1.503 Å, I 24

***

(2)
For ScGaCuOs, a crystal structure in Alexandria, relaxed with GGA-PBE gives the simulated PXRD pattern in this record (Cu Ka).

Crystal structure
a = 4.4263 Å, b = 4.4263 Å, c = 4.4263 Å
α = 60.00°, β = 60.00°, γ = 60.00°
Sites, in units of the cell vectors:
Sc: 0.0000 0.0000 0.0000
Ga: 0.5000 0.5000 0.5000
Cu: 0.7500 0.7500 0.7500
Os: 0.2500 0.2500 0.2500

Most intense lines, 10° ≤ 2θ ≤ 90°, by angle:
24.6°, 3.614 Å, I 25
28.5°, 3.130 Å, I 17
40.8°, 2.213 Å, I 100
48.2°, 1.887 Å, I 13
50.5°, 1.807 Å, I 5
59.0°, 1.565 Å, I 16
64.9°, 1.436 Å, I 6
66.8°, 1.400 Å, I 7
74.2°, 1.278 Å, I 33
88.3°, 1.107 Å, I 11

***

(3)
For Li2Pa4Se9, a crystal structure in Alexandria, relaxed with GGA-PBE gives the simulated PXRD pattern in this record (Cu Ka).

Crystal structure
a = 7.0970 Å, b = 7.0970 Å, c = 19.5214 Å
α = 90.00°, β = 90.00°, γ = 60.00°
Sites, in units of the cell vectors:
Li: 0.9995 0.0009 0.1634
Li: 0.0005 0.9991 0.8366
Li: 0.0009 0.9995 0.6634
Li: 0.9991 0.0005 0.3366
Pa: 0.3335 0.3334 0.0117
Pa: 0.3334 0.3335 0.5117
Pa: 0.3330 0.3339 0.3206
Pa: 0.3339 0.3330 0.8206
Pa: 0.6661 0.6670 0.1794
Pa: 0.6670 0.6661 0.6794
Pa: 0.6666 0.6665 0.4883
Pa: 0.6665 0.6666 0.9883
Se: 0.0006 0.6855 0.7498
Se: 0.0254 0.6452 0.4169
Se: 0.0258 0.3290 0.9168
Se: 0.3139 0.6861 0.2500
Se: 0.3145 0.9994 0.7502
Se: 0.3290 0.0258 0.4168
Se: 0.3294 0.6446 0.9168
Se: 0.3554 0.6706 0.5832
Se: 0.3548 0.9746 0.0831
Se: 0.6452 0.0254 0.9169
Se: 0.6446 0.3294 0.4168
Se: 0.6706 0.3554 0.0832
Se: 0.6710 0.9742 0.5832
Se: 0.6855 0.0006 0.2498
Se: 0.6861 0.3139 0.7500
Se: 0.9742 0.6710 0.0832
Se: 0.9746 0.3548 0.5831
Se: 0.9994 0.3145 0.2502

Most intense lines, 10° ≤ 2θ ≤ 90°, by angle:
14.4°, 6.146 Å, I 70
17.0°, 5.201 Å, I 46
23.3°, 3.822 Å, I 58
25.1°, 3.548 Å, I 32
28.7°, 3.115 Å, I 56
31.1°, 2.873 Å, I 32
34.5°, 2.600 Å, I 33
37.5°, 2.398 Å, I 100
43.1°, 2.097 Å, I 31
44.2°, 2.049 Å, I 58

***

(4)
For Tb7Ho3Mg2, a crystal structure in Alexandria, relaxed with GGA-PBE gives the simulated PXRD pattern in this record (Cu Ka).

Crystal structure
a = 5.7377 Å, b = 3.5355 Å, c = 18.4127 Å
α = 90.00°, β = 93.61°, γ = 90.00°
Sites, in units of the cell vectors:
Tb: 0.0000 0.0000 0.0000
Tb: 0.1775 0.5000 0.1720
Tb: 0.2576 0.5000 0.5372
Tb: 0.3253 0.0000 0.8522
Tb: 0.6747 0.0000 0.1478
Tb: 0.7424 0.5000 0.4628
Tb: 0.8225 0.5000 0.8280
Ho: 0.2226 0.0000 0.3679
Ho: 0.5000 0.5000 0.0000
Ho: 0.7774 0.0000 0.6321
Mg: 0.2947 0.5000 0.7055
Mg: 0.7053 0.5000 0.2945

Most intense lines, 10° ≤ 2θ ≤ 90°, by angle:
29.2°, 3.063 Å, I 45
31.3°, 2.858 Å, I 48
31.6°, 2.831 Å, I 100
31.9°, 2.802 Å, I 22
32.3°, 2.774 Å, I 21
32.7°, 2.736 Å, I 39
35.1°, 2.556 Å, I 19
38.0°, 2.365 Å, I 33
50.8°, 1.797 Å, I 20
61.7°, 1.504 Å, I 21